Computed powder XRD pattern of ScZnMo3O8 for Cu Kα (weighted mean of Kα1 and Kα2), from a structure optimized by DFT (GGA+U).
Kinematic intensities with the Lorentz-polarization factor, no thermal factor.

Largest 6 diffraction maxima, most intense first, 10° ≤ 2θ ≤ 80°:
Position (°2θ)  I/Imax  index
34.1  100  2 0 1
18.5  68  0 0 2
34.0  55  1 1 2
58.7  47  2 0 5
32.4  46  1 0 3
58.5  42  2 2 0

Crystal structure
Cell: 6.3149 6.3149 9.6147 Å, 90.00 90.00 120.00°
Atoms (fractional coordinates):
Sc  0.3333  0.6667  0.0000
Sc  0.6667  0.3333  0.5000
Zn  0.3333  0.6667  0.3903
Zn  0.6667  0.3333  0.8903
Mo  0.1643  0.3286  0.7139
Mo  0.1643  0.8357  0.7139
Mo  0.3286  0.1643  0.2139
Mo  0.6714  0.8357  0.7139
Mo  0.8357  0.1643  0.2139
Mo  0.8357  0.6714  0.2139
O  0.0000  0.0000  0.3236
O  0.0000  0.0000  0.8236
O  0.0348  0.5174  0.8434
O  0.1693  0.3387  0.1143
O  0.1693  0.8307  0.1143
O  0.3333  0.6667  0.5978
O  0.3387  0.1693  0.6143
O  0.4826  0.5174  0.8434
O  0.4826  0.9652  0.8434
O  0.5174  0.0348  0.3434
O  0.5174  0.4826  0.3434
O  0.6613  0.8307  0.1143
O  0.6667  0.3333  0.0978
O  0.8307  0.1693  0.6143
O  0.8307  0.6613  0.6143
O  0.9652  0.4826  0.3434